This entry pairs a crystal structure of Ni12P5 with its computed powder X-ray diffraction pattern. Radiation: Cu Kα. Structure: a PBE-relaxed structure.
Peak positions follow from Bragg's law for the DFT cell and can differ from measured ones.

Peak list (6 most intense, 5° ≤ 2θ ≤ 70°, sorted by position)
2θ 38.68, d = 2.328 Å, I = 39
2θ 41.52, d = 2.175 Å, I = 16
2θ 41.84, d = 2.159 Å, I = 42
2θ 44.55, d = 2.034 Å, I = 20
2θ 47.09, d = 1.930 Å, I = 66
2θ 49.24, d = 1.851 Å, I = 100

Atomic structure:
```
data_Ni12P5
_cell_length_a 6.601
_cell_length_b 6.601
_cell_length_c 6.601
_cell_angle_alpha 98.37
_cell_angle_beta 98.37
_cell_angle_gamma 135.15
_space_group_name_H-M_alt 'P 1'
_space_group_IT_number 1
loop_
_space_group_symop_operation_xyz
'x,y,z'
loop_
_atom_site_label
_atom_site_fract_x
_atom_site_fract_y
_atom_site_fract_z
_atom_site_occupancy
Ni1 0.060 0.366 0.426 1
Ni2 0.068 0.132 0.702 1
Ni3 0.132 0.430 0.064 1
Ni4 0.366 0.068 0.936 1
Ni5 0.366 0.940 0.306 1
Ni6 0.430 0.366 0.298 1
Ni7 0.570 0.634 0.702 1
Ni8 0.634 0.060 0.694 1
Ni9 0.634 0.932 0.064 1
Ni10 0.868 0.570 0.936 1
Ni11 0.932 0.868 0.298 1
Ni12 0.940 0.634 0.574 1
P1 0.000 0.000 0.000 1
P2 0.195 0.587 0.781 1
P3 0.413 0.195 0.608 1
P4 0.587 0.805 0.392 1
P5 0.805 0.413 0.219 1
```